[1]
This entry pairs a crystal structure of Na2FeO3 with its simulated X-ray diffraction stick pattern. Radiation: Cu Kα (weighted mean of Kα1 and Kα2). Structure: a structure optimized by DFT (PBE+U).
No peak broadening, texture or thermal motion is included.

Crystal structure
```
data_Na2FeO3
_space_group_name_H-M_alt 'P 63/m c m'
_space_group_IT_number 193
_space_group_name_Hall '-P 6c 2'
_cell_length_a 5.3529
_cell_length_b 5.3529
_cell_length_c 11.0232
_cell_angle_alpha 90.00
_cell_angle_beta 90.00
_cell_angle_gamma 120.00
loop_
_atom_site_label
_atom_site_type_symbol
_atom_site_fract_x
_atom_site_fract_y
_atom_site_fract_z
Na1 Na 0.0000 0.0000 0.0000
Na2 Na 0.0000 0.3201 0.2500
Fe1 Fe 0.3333 0.6667 0.0000
O1 O 0.0000 0.3778 0.6013
```

Largest 10 diffraction maxima, low angle first, 10 to 80 degrees two-theta:
2θ = 16.1°, rel. 54, hkl 0 0 2; 2θ = 19.1°, rel. 23, hkl 1 0 0; 2θ = 25.1°, rel. 20, hkl 1 0 2; 2θ = 32.5°, rel. 16, hkl 0 0 4; 2θ = 37.4°, rel. 100, hkl 1 1 2; 2θ = 41.8°, rel. 48, hkl 1 1 3; 2θ = 47.3°, rel. 36, hkl 1 1 4; 2θ = 59.9°, rel. 32, hkl 3 0 0; 2θ = 61.2°, rel. 33, hkl 1 1 6; 2θ = 69.8°, rel. 13, hkl 3 0 4



[2]
This entry pairs a crystal structure of LiNiOF with its simulated X-ray diffraction stick pattern. Radiation: Cu Kα (weighted mean of Kα1 and Kα2). Structure: a structure optimized by DFT (PBE+U).
No peak broadening, texture or thermal motion is included.

Crystal structure
```
data_LiNiOF
_space_group_name_H-M_alt 'P 4/m m m'
_space_group_IT_number 123
_space_group_name_Hall '-P 4 2'
_cell_length_a 2.9529
_cell_length_b 2.9529
_cell_length_c 12.6385
_cell_angle_alpha 90.00
_cell_angle_beta 90.00
_cell_angle_gamma 90.00
loop_
_atom_site_label
_atom_site_type_symbol
_atom_site_fract_x
_atom_site_fract_y
_atom_site_fract_z
Li1 Li 0.0000 0.0000 0.0000
Li2 Li 0.5000 0.5000 0.1657
Ni1 Ni 0.0000 0.0000 0.3337
Ni2 Ni 0.5000 0.5000 0.5000
O1 O 0.0000 0.0000 0.5000
O2 O 0.5000 0.5000 0.3311
F1 F 0.0000 0.0000 0.1607
F2 F 0.5000 0.5000 0.0000
```

Largest 10 diffraction maxima, low angle first, 10 to 80 degrees two-theta:
2θ = 33.5°, rel. 64, hkl 1 0 2; 2θ = 35.5°, rel. 13, hkl 0 0 5; 2θ = 37.2°, rel. 34, hkl 1 0 3; 2θ = 41.9°, rel. 40, hkl 1 0 4; 2θ = 42.9°, rel. 51, hkl 0 0 6; 2θ = 43.3°, rel. 100, hkl 1 1 0; 2θ = 44.0°, rel. 24, hkl 1 1 1; 2θ = 62.6°, rel. 57, hkl 1 1 6; 2θ = 63.0°, rel. 28, hkl 2 0 0; 2θ = 79.2°, rel. 26, hkl 2 0 6



[3]
This entry pairs a crystal structure of Li3Fe8B8O24 with its simulated X-ray diffraction stick pattern. Radiation: Cu Kα (weighted mean of Kα1 and Kα2). Structure: a structure optimized by DFT (PBE+U).
No peak broadening, texture or thermal motion is included.

Crystal structure
```
data_Li3Fe8B8O24
_space_group_name_H-M_alt 'P 1'
_space_group_IT_number 1
_space_group_name_Hall 'P 1'
_cell_length_a 5.2972
_cell_length_b 9.0761
_cell_length_c 10.1873
_cell_angle_alpha 90.05
_cell_angle_beta 90.85
_cell_angle_gamma 90.07
loop_
_atom_site_label
_atom_site_type_symbol
_atom_site_fract_x
_atom_site_fract_y
_atom_site_fract_z
Li1 Li 0.0000 0.0000 0.0000
Li2 Li 0.0012 0.9761 0.4907
Li3 Li 0.2007 0.4849 0.7328
Fe1 Fe 0.0139 0.6402 0.4508
Fe2 Fe 0.0180 0.3341 0.9611
Fe3 Fe 0.2003 0.1433 0.7138
Fe4 Fe 0.2078 0.8209 0.2106
Fe5 Fe 0.5112 0.1587 0.4585
Fe6 Fe 0.5124 0.8112 0.9607
Fe7 Fe 0.6873 0.3142 0.1986
Fe8 Fe 0.6927 0.6538 0.7057
B1 B 0.0158 0.3090 0.4560
B2 B 0.0311 0.6652 0.9442
B3 B 0.1812 0.1598 0.2072
B4 B 0.1856 0.8065 0.6991
B5 B 0.5090 0.1407 0.9614
B6 B 0.5214 0.8221 0.4630
B7 B 0.6977 0.6458 0.2033
B8 B 0.6987 0.3262 0.7015
O1 O 0.0490 0.2860 0.1696
O2 O 0.0593 0.6735 0.6615
O3 O 0.0806 0.9380 0.6781
O4 O 0.0833 0.0236 0.1912
O5 O 0.1183 0.4451 0.4761
O6 O 0.1460 0.1801 0.4906
O7 O 0.1460 0.7942 0.9923
O8 O 0.1522 0.5361 0.9313
O9 O 0.2547 0.1480 0.9235
O10 O 0.2673 0.8029 0.4270
O11 O 0.4244 0.7876 0.7569
O12 O 0.4255 0.1786 0.2616
O13 O 0.5665 0.2041 0.6524
O14 O 0.5681 0.4592 0.7066
O15 O 0.5700 0.7673 0.1509
O16 O 0.5903 0.5110 0.1972
O17 O 0.6333 0.9574 0.4586
O18 O 0.6362 0.0077 0.9573
O19 O 0.6398 0.2648 0.0046
O20 O 0.6628 0.6998 0.5064
O21 O 0.7738 0.2935 0.4032
O22 O 0.7797 0.6804 0.8991
O23 O 0.9341 0.6692 0.2641
O24 O 0.9473 0.3177 0.7430
```

Largest 10 diffraction maxima, low angle first, 10 to 80 degrees two-theta:
2θ = 19.4°, rel. 31, hkl 1 -1 0; 2θ = 19.6°, rel. 55, hkl 0 2 0; 2θ = 21.4°, rel. 100, hkl 1 1 1; 2θ = 26.0°, rel. 49, hkl 1 1 -2; 2θ = 33.8°, rel. 19, hkl 2 0 0; 2θ = 34.1°, rel. 46, hkl 1 -3 0; 2θ = 35.2°, rel. 62, hkl 0 0 4; 2θ = 40.3°, rel. 30, hkl 2 2 -1; 2θ = 40.7°, rel. 19, hkl 0 4 1; 2θ = 49.2°, rel. 24, hkl 1 1 5